(1)
Calculated powder XRD pattern of Ba6RhN2Cl3 for Cu Kα, from a structure optimized by DFT (PBE).
Intensities are scaled so that the largest is 100.

Most intense lines, 2θ = 5–70°, sorted by position:
d [Å]	2θ (°)	Rel. int.
7.703	11.49	23
3.531	25.22	39
3.121	28.60	100
2.466	36.44	18
2.279	39.54	25
2.141	42.21	37
1.829	49.85	14
1.766	51.78	17

Atomic structure:
```
Ba6RhN2Cl3
1.0
3.708 -6.425 0.000
3.708 6.425 0.000
-2.482 0.000 7.703
Ba Rh N Cl
6 1 2 3
Direct
0.078 0.434 0.802
0.211 0.211 0.199
0.434 0.078 0.802
0.566 0.922 0.198
0.789 0.789 0.801
0.922 0.566 0.198
0.500 0.500 0.000
0.167 0.833 0.000
0.833 0.167 0.000
0.000 0.000 0.500
0.335 0.665 0.500
0.665 0.335 0.500
```

(2)
Calculated powder XRD pattern of Si2PPt for Cu Kα, from a structure optimized by DFT (PBE).
Intensities are scaled so that the largest is 100.

Most intense lines, 2θ = 5–70°, sorted by position:
d [Å]	2θ (°)	Rel. int.
8.759	10.10	99
3.719	23.93	81
3.384	26.34	100
2.996	29.82	69
2.880	31.05	90
2.678	33.46	29
1.900	47.87	83
1.756	52.09	31

Atomic structure:
```
Si2PPt
1.0
2.076 -8.759 0.000
2.076 8.759 0.000
0.000 0.000 4.108
Si P Pt
4 2 2
Direct
0.043 0.957 0.750
0.252 0.748 0.250
0.748 0.252 0.750
0.957 0.043 0.250
0.467 0.533 0.750
0.533 0.467 0.250
0.179 0.821 0.750
0.821 0.179 0.250
```

(3)
Calculated powder XRD pattern of Pu2Zn3Si for Cu Kα, from a structure optimized by DFT (PBE).
Intensities are scaled so that the largest is 100.

Most intense lines, 2θ = 5–70°, sorted by position:
d [Å]	2θ (°)	Rel. int.
4.020	22.11	21
3.999	22.23	41
2.424	37.08	100
2.317	38.87	43
2.305	39.08	21
1.678	54.72	11
1.671	54.93	22
1.356	69.28	11

Atomic structure:
```
Pu2Zn3Si
1.0
0.000 4.609 8.039
3.046 0.000 8.039
3.046 4.609 0.000
Pu Zn Si
4 6 2
Direct
0.246 0.754 0.754
0.250 0.250 0.250
0.750 0.750 0.750
0.754 0.246 0.246
0.168 0.168 0.832
0.171 0.663 0.337
0.337 0.829 0.171
0.663 0.171 0.829
0.829 0.337 0.663
0.832 0.832 0.168
0.335 0.335 0.665
0.665 0.665 0.335
```

(4)
Calculated powder XRD pattern of PaCo22B6 for Cu Kα, from a structure optimized by DFT (PBE).
Intensities are scaled so that the largest is 100.

Most intense lines, 2θ = 5–70°, sorted by position:
d [Å]	2θ (°)	Rel. int.
6.097	14.53	21
3.184	28.02	21
3.048	29.30	11
2.155	41.91	39
2.032	44.59	100
1.867	48.78	25
1.760	51.96	17
1.670	55.00	6

Atomic structure:
```
PaCo22B6
1.0
0.000 5.280 5.280
5.280 0.000 5.280
5.280 5.280 0.000
Pa Co B
1 22 6
Direct
0.000 0.000 0.000
0.000 0.000 0.346
0.000 0.000 0.654
0.000 0.346 0.000
0.000 0.346 0.654
0.000 0.654 0.000
0.000 0.654 0.346
0.143 0.619 0.619
0.250 0.250 0.250
0.346 0.000 0.000
0.346 0.000 0.654
0.346 0.654 0.000
0.381 0.381 0.381
0.381 0.381 0.857
0.381 0.857 0.381
0.619 0.143 0.619
0.619 0.619 0.143
0.619 0.619 0.619
0.654 0.000 0.000
0.654 0.000 0.346
0.654 0.346 0.000
0.750 0.750 0.750
0.857 0.381 0.381
0.276 0.276 0.724
0.276 0.724 0.276
0.276 0.724 0.724
0.724 0.276 0.276
0.724 0.276 0.724
0.724 0.724 0.276
```

(5)
Calculated powder XRD pattern of Pm2SmMg3 for Cu Kα, from a structure optimized by DFT (PBE).
Intensities are scaled so that the largest is 100.

Most intense lines, 2θ = 5–70°, sorted by position:
d [Å]	2θ (°)	Rel. int.
3.860	23.04	60
2.730	32.81	100
2.229	40.47	19
1.930	47.08	18
1.726	53.05	26
1.576	58.57	38
1.365	68.79	12

Atomic structure:
```
Pm2SmMg3
1.0
3.859 0.000 0.000
0.000 3.859 0.000
0.000 0.000 11.591
Pm Sm Mg
2 1 3
Direct
0.000 0.000 0.168
0.000 0.000 0.832
0.000 0.000 0.500
0.500 0.500 0.000
0.500 0.500 0.335
0.500 0.500 0.665
```

(6)
Calculated powder XRD pattern of La8Ge2Ir3 for Cu Kα, from a structure optimized by DFT (PBE).
Intensities are scaled so that the largest is 100.

Most intense lines, 2θ = 5–70°, sorted by position:
d [Å]	2θ (°)	Rel. int.
7.505	11.79	27
2.590	34.63	100
2.538	35.36	24
2.525	35.56	24
1.876	48.52	10
1.790	51.02	17
1.506	61.57	13
1.470	63.27	18

Atomic structure:
```
La8Ge2Ir3
1.0
9.049 0.000 0.000
0.000 5.049 0.000
-3.376 0.000 8.421
La Ge Ir
8 2 3
Direct
0.114 0.000 0.386
0.139 0.500 0.875
0.373 0.500 0.639
0.381 0.000 0.119
0.619 0.000 0.881
0.627 0.500 0.361
0.861 0.500 0.125
0.886 0.000 0.614
0.240 0.500 0.260
0.760 0.500 0.740
0.246 0.000 0.746
0.500 0.500 0.000
0.754 0.000 0.254
```

(7)
Calculated powder XRD pattern of LiAl2Cu6 for Cu Kα, from a structure optimized by DFT (PBE).
Intensities are scaled so that the largest is 100.

Most intense lines, 2θ = 5–70°, sorted by position:
d [Å]	2θ (°)	Rel. int.
3.881	22.91	22
3.407	26.16	21
2.472	36.34	11
2.159	41.83	34
2.138	42.28	100
1.896	47.99	22
1.873	48.60	7
1.837	49.63	40

Atomic structure:
```
LiAl2Cu6
1.0
5.822 -3.881 0.000
5.822 3.881 0.000
-0.558 0.000 2.548
Li Al Cu
1 2 6
Direct
0.000 0.000 0.000
0.341 0.341 0.847
0.659 0.659 0.153
0.010 0.340 0.181
0.317 0.683 0.500
0.340 0.010 0.181
0.660 0.990 0.819
0.683 0.317 0.500
0.990 0.660 0.819
```

(8)
Calculated powder XRD pattern of Pr2Sm3 for Cu Kα, from a structure optimized by DFT (PBE).
Intensities are scaled so that the largest is 100.

Most intense lines, 2θ = 5–70°, sorted by position:
d [Å]	2θ (°)	Rel. int.
2.997	29.81	100
2.932	30.49	63
2.918	30.64	63
2.812	31.83	64
2.765	32.38	50
2.241	40.24	17
1.974	45.96	18
1.539	60.10	37

Atomic structure:
```
Pr2Sm3
1.0
8.997 0.000 0.000
0.000 3.621 0.000
-3.456 0.000 10.700
Pr Sm
4 6
Direct
0.190 0.250 0.030
0.195 0.250 0.567
0.805 0.750 0.433
0.810 0.750 0.970
0.007 0.250 0.253
0.384 0.750 0.348
0.408 0.750 0.850
0.592 0.250 0.150
0.616 0.250 0.652
0.993 0.750 0.747
```

(9)
Calculated powder XRD pattern of PaTeS4 for Cu Kα, from a structure optimized by DFT (PBE).
Intensities are scaled so that the largest is 100.

Most intense lines, 2θ = 5–70°, sorted by position:
d [Å]	2θ (°)	Rel. int.
6.434	13.76	100
3.571	24.93	18
3.513	25.36	19
3.163	28.21	29
3.074	29.04	20
3.054	29.24	20
2.427	37.04	11
2.050	44.17	13

Atomic structure:
```
PaTeS4
1.0
4.034 0.000 0.000
0.003 7.146 0.000
1.959 3.379 6.434
Pa Te S
1 1 4
Direct
0.000 0.000 0.000
0.665 0.500 0.000
0.154 0.430 0.781
0.384 0.999 0.234
0.611 0.001 0.766
0.941 0.570 0.219
```

(10)
Calculated powder XRD pattern of Dy2Zn3Ru2 for Cu Kα, from a structure optimized by DFT (PBE).
Intensities are scaled so that the largest is 100.

Most intense lines, 2θ = 5–70°, sorted by position:
d [Å]	2θ (°)	Rel. int.
3.164	28.20	57
2.604	34.44	73
2.596	34.56	54
2.558	35.08	100
2.294	39.28	44
2.218	40.68	98
2.172	41.58	71
1.368	68.61	30

Atomic structure:
```
Dy2Zn3Ru2
1.0
5.050 -2.172 0.000
5.050 2.172 0.000
-1.742 0.000 6.090
Dy Zn Ru
2 3 2
Direct
0.120 0.120 0.347
0.880 0.880 0.653
0.207 0.207 0.878
0.500 0.500 0.000
0.793 0.793 0.122
0.410 0.410 0.328
0.590 0.590 0.672
```

(11)
Calculated powder XRD pattern of Nd2SmNi for Cu Kα, from a structure optimized by DFT (PBE).
Intensities are scaled so that the largest is 100.

Most intense lines, 2θ = 5–70°, sorted by position:
d [Å]	2θ (°)	Rel. int.
2.963	30.16	100
2.953	30.26	49
2.939	30.41	38
2.878	31.08	55
2.820	31.73	72
2.731	32.79	41
2.629	34.10	56
1.650	55.70	29

Atomic structure:
```
Nd2SmNi
1.0
7.038 0.000 0.000
0.000 10.000 0.000
0.000 0.000 6.469
Nd Sm Ni
8 4 4
Direct
0.177 0.067 0.175
0.177 0.433 0.175
0.323 0.567 0.675
0.323 0.933 0.675
0.677 0.067 0.325
0.677 0.433 0.325
0.823 0.567 0.825
0.823 0.933 0.825
0.035 0.250 0.647
0.465 0.750 0.147
0.535 0.250 0.853
0.965 0.750 0.353
0.114 0.750 0.938
0.386 0.250 0.438
0.614 0.750 0.562
0.886 0.250 0.062
```

(12)
Calculated powder XRD pattern of Ac2Sn3Hg2 for Cu Kα, from a structure optimized by DFT (PBE).
Intensities are scaled so that the largest is 100.

Most intense lines, 2θ = 5–70°, sorted by position:
d [Å]	2θ (°)	Rel. int.
3.064	29.14	35
3.013	29.65	33
2.872	31.14	100
2.666	33.62	93
2.564	34.99	20
2.519	35.64	53
1.933	47.02	19
1.662	55.28	20

Atomic structure:
```
Ac2Sn3Hg2
1.0
6.162 -2.519 0.000
6.162 2.519 0.000
-1.628 0.000 6.809
Ac Sn Hg
2 3 2
Direct
0.110 0.110 0.302
0.890 0.890 0.698
0.217 0.217 0.856
0.500 0.500 0.000
0.783 0.783 0.144
0.391 0.391 0.358
0.609 0.609 0.642
```

(13)
Calculated powder XRD pattern of Tb5Ho4Er3 for Cu Kα, from a structure optimized by DFT (PBE).
Intensities are scaled so that the largest is 100.

Most intense lines, 2θ = 5–70°, sorted by position:
d [Å]	2θ (°)	Rel. int.
2.878	31.07	100
2.493	36.03	51
1.764	51.84	24
1.761	51.93	12
1.504	61.66	18
1.503	61.74	21
1.501	61.81	4
1.438	64.82	9

Atomic structure:
```
Tb5Ho4Er3
1.0
6.105 0.000 0.000
-0.017 7.057 0.000
-0.012 -0.004 8.628
Tb Ho Er
5 4 3
Direct
0.000 0.000 0.000
0.333 0.500 0.334
0.500 0.250 0.000
0.500 0.750 0.000
0.667 0.500 0.666
0.166 0.750 0.666
0.334 0.000 0.334
0.666 0.000 0.666
0.834 0.250 0.334
0.000 0.500 0.000
0.167 0.250 0.666
0.833 0.750 0.334
```